(1)
Theoretical X-ray powder pattern of CePm3Si2 for Cu Kα, from the PBE geometry in Alexandria.
Kinematic intensities with the Lorentz-polarization factor, no thermal factor.

Cell lengths 8.096, 8.096, 8.096 Å; angles 56.05, 56.05, 56.05 degrees
Sites, in units of the cell vectors:
Ce (0.000, 0.000, 0.000)
Ce (0.500, 0.500, 0.500)
Pm (0.026, 0.750, 0.474)
Pm (0.250, 0.526, 0.974)
Pm (0.474, 0.026, 0.750)
Pm (0.526, 0.974, 0.250)
Pm (0.750, 0.474, 0.026)
Pm (0.974, 0.250, 0.526)
Si (0.144, 0.144, 0.144)
Si (0.356, 0.356, 0.356)
Si (0.644, 0.644, 0.644)
Si (0.856, 0.856, 0.856)

Principal peaks in the range 10 to 90 degrees two-theta, most intense first:
d_spacing, two_theta, I/Imax
3.320, 26.86, 100
2.535, 35.41, 57
2.196, 41.10, 33
3.135, 28.47, 25
4.033, 22.04, 25
1.947, 46.64, 22
2.472, 36.34, 21
2.419, 37.17, 18

(2)
Theoretical X-ray powder pattern of K2MnSbSe4 for Cu Kα, from the PBE geometry in Alexandria.
Kinematic intensities with the Lorentz-polarization factor, no thermal factor.

Cell lengths 8.511, 8.511, 8.511 Å; angles 120.97, 118.73, 90.28 degrees
Sites, in units of the cell vectors:
K (0.000, 0.000, 0.000)
K (0.500, 0.000, 0.000)
K (0.500, 0.000, 0.500)
K (0.500, 0.500, 0.500)
Mn (0.000, 0.000, 0.500)
Mn (0.000, 0.500, 0.000)
Sb (0.000, 0.500, 0.500)
Sb (0.500, 0.500, 0.000)
Se (0.191, 0.740, 0.451)
Se (0.211, 0.260, 0.951)
Se (0.218, 0.238, 0.520)
Se (0.218, 0.698, 0.980)
Se (0.782, 0.302, 0.020)
Se (0.782, 0.762, 0.480)
Se (0.789, 0.740, 0.049)
Se (0.809, 0.260, 0.549)

Principal peaks in the range 10 to 90 degrees two-theta, most intense first:
d_spacing, two_theta, I/Imax
3.014, 29.63, 100
2.127, 42.50, 59
3.002, 29.76, 46
6.875, 12.88, 28
7.031, 12.59, 23
1.719, 53.31, 19
2.097, 43.15, 18
2.168, 41.65, 14

(3)
Theoretical X-ray powder pattern of NaTlB2F8 for Cu Kα, from the PBE geometry in Alexandria.
Kinematic intensities with the Lorentz-polarization factor, no thermal factor.

Cell lengths 5.169, 5.169, 8.125 Å; angles 90.00, 90.00, 120.00 degrees
Sites, in units of the cell vectors:
Na (0.000, 0.000, 0.000)
Tl (0.000, 0.000, 0.500)
B (0.333, 0.667, 0.239)
B (0.667, 0.333, 0.761)
F (0.108, 0.384, 0.182)
F (0.275, 0.892, 0.182)
F (0.333, 0.667, 0.414)
F (0.384, 0.275, 0.818)
F (0.616, 0.725, 0.182)
F (0.667, 0.333, 0.586)
F (0.725, 0.108, 0.818)
F (0.892, 0.616, 0.818)

Principal peaks in the range 10 to 90 degrees two-theta, most intense first:
d_spacing, two_theta, I/Imax
3.921, 22.68, 100
3.008, 29.70, 87
4.476, 19.83, 79
8.125, 10.89, 67
2.463, 36.48, 54
2.181, 41.41, 46
2.584, 34.71, 32
1.960, 46.31, 31

(4)
Theoretical X-ray powder pattern of CsRbCu2Br5 for Cu Kα, from the PBE geometry in Alexandria.
Kinematic intensities with the Lorentz-polarization factor, no thermal factor.

Cell lengths 5.090, 5.090, 10.946 Å; angles 90.00, 90.00, 90.00 degrees
Sites, in units of the cell vectors:
Cs (0.000, 0.000, 0.000)
Rb (0.000, 0.000, 0.500)
Cu (0.500, 0.500, 0.238)
Cu (0.500, 0.500, 0.762)
Br (0.000, 0.500, 0.279)
Br (0.000, 0.500, 0.721)
Br (0.500, 0.000, 0.279)
Br (0.500, 0.000, 0.721)
Br (0.500, 0.500, 0.000)

Principal peaks in the range 10 to 90 degrees two-theta, most intense first:
d_spacing, two_theta, I/Imax
3.007, 29.71, 100
2.545, 35.27, 84
3.727, 23.87, 59
1.864, 48.87, 50
2.736, 32.73, 40
1.800, 50.73, 29
1.544, 59.90, 27
1.504, 61.69, 25

(5)
Theoretical X-ray powder pattern of NpTe2O8F for Cu Kα, from the PBE geometry in Alexandria.
Kinematic intensities with the Lorentz-polarization factor, no thermal factor.

Cell lengths 5.132, 5.611, 6.488 Å; angles 103.54, 109.10, 101.23 degrees
Sites, in units of the cell vectors:
Np (0.000, 0.000, 0.000)
Te (0.437, 0.364, 0.703)
Te (0.563, 0.636, 0.297)
O (0.185, 0.838, 0.852)
O (0.282, 0.342, 0.965)
O (0.297, 0.814, 0.266)
O (0.370, 0.310, 0.343)
O (0.630, 0.690, 0.657)
O (0.703, 0.186, 0.734)
O (0.718, 0.658, 0.035)
O (0.815, 0.162, 0.148)
F (0.000, 0.000, 0.500)

Principal peaks in the range 10 to 90 degrees two-theta, most intense first:
d_spacing, two_theta, I/Imax
4.119, 21.57, 100
3.381, 26.36, 90
2.975, 30.04, 38
3.055, 29.23, 37
2.727, 32.84, 28
4.604, 19.28, 27
3.081, 28.98, 27
5.806, 15.26, 26